For PrSnPt, a DFT-relaxed cell (PBE, the Materials Project) gives the computed powder diffractogram in this record (CuKα).

Cell lengths 7.5414, 4.6600, 8.1574 Å; angles 90.00, 90.00, 90.00 degrees
Positions (direct):
Pr 0.0125 0.2500 0.1938
Pr 0.4875 0.7500 0.6938
Pr 0.5125 0.2500 0.3062
Pr 0.9875 0.7500 0.8062
Sn 0.1754 0.2500 0.5838
Sn 0.3246 0.7500 0.0838
Sn 0.6754 0.2500 0.9162
Sn 0.8246 0.7500 0.4162
Pt 0.2099 0.7500 0.4081
Pt 0.2901 0.2500 0.9081
Pt 0.7099 0.7500 0.0919
Pt 0.7901 0.2500 0.5919

The 10 most intense peaks (10 to 80 degrees two-theta), sorted by position:
d = 2.843 Å, 31.47 deg, intensity 54; d = 2.769 Å, 32.33 deg, intensity 33; d = 2.759 Å, 32.46 deg, intensity 100; d = 2.402 Å, 37.44 deg, intensity 35; d = 2.349 Å, 38.33 deg, intensity 69; d = 2.330 Å, 38.64 deg, intensity 48; d = 1.783 Å, 51.24 deg, intensity 18; d = 1.673 Å, 54.89 deg, intensity 24; d = 1.499 Å, 61.88 deg, intensity 27; d = 1.354 Å, 69.43 deg, intensity 18

For Ca6Te3N2, a DFT-relaxed cell (PBE, the Materials Project) gives the computed powder diffractogram in this record (CuKα).

Cell lengths 8.2480, 8.2480, 8.2480 Å; angles 94.36, 94.36, 94.36 degrees
Positions (direct):
Ca 0.0180 0.9038 0.7218
Ca 0.0962 0.2782 0.9820
Ca 0.2218 0.4038 0.5180
Ca 0.2782 0.9820 0.0962
Ca 0.4038 0.5180 0.2218
Ca 0.4820 0.7782 0.5962
Ca 0.5180 0.2218 0.4038
Ca 0.5962 0.4820 0.7782
Ca 0.7218 0.0180 0.9038
Ca 0.7782 0.5962 0.4820
Ca 0.9038 0.7218 0.0180
Ca 0.9820 0.0962 0.2782
Te 0.1245 0.7500 0.3755
Te 0.2500 0.6245 0.8755
Te 0.3755 0.1245 0.7500
Te 0.6245 0.8755 0.2500
Te 0.7500 0.3755 0.1245
Te 0.8755 0.2500 0.6245
N 0.0000 0.0000 0.0000
N 0.2500 0.2500 0.2500
N 0.5000 0.5000 0.5000
N 0.7500 0.7500 0.7500

The 10 most intense peaks (10 to 80 degrees two-theta), sorted by position:
d = 3.551 Å, 25.08 deg, intensity 100; d = 3.493 Å, 25.50 deg, intensity 45; d = 3.138 Å, 28.44 deg, intensity 23; d = 3.025 Å, 29.53 deg, intensity 22; d = 2.838 Å, 31.53 deg, intensity 63; d = 2.658 Å, 33.72 deg, intensity 22; d = 2.490 Å, 36.07 deg, intensity 93; d = 2.192 Å, 41.18 deg, intensity 26; d = 1.941 Å, 46.81 deg, intensity 23; d = 1.857 Å, 49.05 deg, intensity 20

For CuH2O2, a DFT-relaxed cell (PBE, the Materials Project) gives the computed powder diffractogram in this record (CuKα).

Cell lengths 2.9779, 5.4009, 5.3801 Å; angles 90.00, 101.80, 90.00 degrees
Positions (direct):
Cu 0.1773 0.0000 0.3665
Cu 0.8227 0.5000 0.6335
H 0.2028 0.5088 0.2260
H 0.4597 0.3122 0.9584
H 0.5403 0.8122 0.0416
H 0.7972 0.0088 0.7740
O 0.2356 0.4342 0.3954
O 0.4154 0.4826 0.8886
O 0.5846 0.9826 0.1114
O 0.7644 0.9342 0.6046

The 10 most intense peaks (10 to 80 degrees two-theta), sorted by position:
d = 5.266 Å, 16.84 deg, intensity 83; d = 3.771 Å, 23.60 deg, intensity 100; d = 2.700 Å, 33.18 deg, intensity 77; d = 2.489 Å, 36.08 deg, intensity 30; d = 2.403 Å, 37.43 deg, intensity 22; d = 2.354 Å, 38.23 deg, intensity 39; d = 2.189 Å, 41.23 deg, intensity 36; d = 1.775 Å, 51.50 deg, intensity 27; d = 1.702 Å, 53.88 deg, intensity 38; d = 1.486 Å, 62.50 deg, intensity 29

For CaU3Ti8O24, a DFT-relaxed cell (PBE, the Materials Project) gives the computed powder diffractogram in this record (CuKα).

Cell lengths 7.5047, 7.8578, 8.4575 Å; angles 98.93, 111.53, 94.83 degrees
Positions (direct):
Ca 0.0000 0.0000 0.0000
U 0.2498 0.7516 0.7490
U 0.5000 0.5000 0.5000
U 0.7502 0.2484 0.2510
Ti 0.0649 0.6780 0.2798
Ti 0.1778 0.0778 0.4587
Ti 0.3167 0.4226 0.0334
Ti 0.4288 0.8274 0.2089
Ti 0.5712 0.1726 0.7911
Ti 0.6833 0.5774 0.9666
Ti 0.8222 0.9222 0.5413
Ti 0.9351 0.3220 0.7202
O 0.0027 0.1549 0.5691
O 0.0305 0.1668 0.2734
O 0.1045 0.2554 0.9351
O 0.1461 0.5130 0.8053
O 0.2170 0.5948 0.4911
O 0.2499 0.5931 0.1878
O 0.2562 0.9065 0.3177
O 0.2953 0.9009 0.0078
O 0.3537 0.9927 0.6932
O 0.3949 0.2583 0.5567
O 0.4688 0.3407 0.2383
O 0.4934 0.3444 0.9328
O 0.5066 0.6556 0.0672
O 0.5312 0.6593 0.7617
O 0.6051 0.7417 0.4433
O 0.6463 0.0073 0.3068
O 0.7047 0.0991 0.9922
O 0.7438 0.0935 0.6823
O 0.7501 0.4069 0.8122
O 0.7830 0.4052 0.5089
O 0.8539 0.4870 0.1947
O 0.8955 0.7446 0.0649
O 0.9695 0.8332 0.7266
O 0.9973 0.8451 0.4309

The 10 most intense peaks (10 to 80 degrees two-theta), sorted by position:
d = 6.082 Å, 14.56 deg, intensity 27; d = 4.777 Å, 18.57 deg, intensity 71; d = 3.449 Å, 25.83 deg, intensity 100; d = 3.346 Å, 26.65 deg, intensity 58; d = 2.949 Å, 30.31 deg, intensity 48; d = 2.786 Å, 32.13 deg, intensity 39; d = 2.527 Å, 35.53 deg, intensity 29; d = 2.481 Å, 36.21 deg, intensity 40; d = 1.927 Å, 47.16 deg, intensity 27; d = 1.584 Å, 58.25 deg, intensity 27

Question: Which formula does entry 3 have?
Answer: CuH2O2